(1)
Computed powder diffraction line list
Compound: UP4O12
Radiation: copper Kα
Structure: the PBE geometry in Alexandria

Peak list (8 most intense, 2θ from 15° to 90°, in order of falling intensity)
- 20.08 deg, I = 100.0, hkl 1 -1 1
- 31.15 deg, I = 56.1, hkl 1 1 1
- 24.99 deg, I = 33.4, hkl 0 2 0
- 20.16 deg, I = 31.6, hkl 1 1 -2
- 25.13 deg, I = 31.5, hkl 2 0 0
- 41.93 deg, I = 28.4, hkl -2 1 3
- 20.92 deg, I = 27.9, hkl 0 2 -1
- 21.08 deg, I = 27.8, hkl 2 0 -1

Crystal structure
```
data_UP4O12
_chemical_formula_sum 'U2 P8 O24'
_cell_length_a 8.4282
_cell_length_b 8.4924
_cell_length_c 8.8504
_cell_angle_alpha 118.37
_cell_angle_beta 118.17
_cell_angle_gamma 90.49
_symmetry_space_group_name_H-M 'P -1'
_symmetry_Int_Tables_number 2
_symmetry_space_group_name_Hall '-P 1'
loop_
_atom_site_label
_atom_site_type_symbol
_atom_site_fract_x
_atom_site_fract_y
_atom_site_fract_z
_atom_site_occupancy
U1 U 0.2195 0.2193 0.4383 1
P1 P 0.0341 0.5050 0.7741 1
P2 P 0.2598 0.7318 0.2259 1
P3 P 0.2725 0.0260 0.7680 1
P4 P 0.4958 0.7419 0.7688 1
O1 O 0.0374 0.3420 0.2497 1
O2 O 0.0818 0.3741 0.6267 1
O3 O 0.0979 0.9728 0.7604 1
O4 O 0.1102 0.6132 0.2229 1
O5 O 0.2138 0.9091 0.2490 1
O6 O 0.2200 0.5956 0.0001 1
O7 O 0.2616 0.1061 0.6462 1
O8 O 0.3373 0.2125 0.2390 1
O9 O 0.3490 0.8488 0.6985 1
O10 O 0.3856 0.5400 0.6478 1
O11 O 0.4442 0.1726 0.9995 1
O12 O 0.4542 0.7471 0.3737 1
```

(2)
Computed powder diffraction line list
Compound: UP2O7
Radiation: copper Kα
Structure: the PBE geometry in Alexandria

Peak list (8 most intense, 2θ from 15° to 90°, in order of falling intensity)
- 17.39 deg, I = 100.0, hkl 1 1 1
- 20.09 deg, I = 87.3, hkl 0 0 2
- 28.58 deg, I = 66.8, hkl 2 0 2
- 33.63 deg, I = 60.4, hkl 1 3 1
- 20.15 deg, I = 42.8, hkl 2 0 0
- 44.72 deg, I = 37.8, hkl 3 1 3
- 33.70 deg, I = 31.3, hkl 3 1 1
- 46.00 deg, I = 30.8, hkl 2 0 4

Crystal structure
```
data_UP2O7
_chemical_formula_sum 'U4 P8 O28'
_cell_length_a 8.8153
_cell_length_b 8.8590
_cell_length_c 8.8245
_cell_angle_alpha 90.00
_cell_angle_beta 90.00
_cell_angle_gamma 90.00
_symmetry_space_group_name_H-M 'P c a 21'
_symmetry_Int_Tables_number 29
_symmetry_space_group_name_Hall 'P 2c -2ac'
loop_
_atom_site_label
_atom_site_type_symbol
_atom_site_fract_x
_atom_site_fract_y
_atom_site_fract_z
_atom_site_occupancy
U1 U 0.0085 0.2434 0.0000 1
P1 P 0.0928 0.3587 0.6002 1
P2 P 0.1098 0.8452 0.8992 1
O1 O 0.0432 0.8171 0.7417 1
O2 O 0.0445 0.7190 0.0110 1
O3 O 0.0633 0.3266 0.7678 1
O4 O 0.0657 0.0001 0.9608 1
O5 O 0.0777 0.5267 0.5630 1
O6 O 0.2190 0.8196 0.4045 1
O7 O 0.2432 0.2920 0.5472 1
```

(3)
Computed powder diffraction line list
Compound: UPO
Radiation: copper Kα
Structure: the PBE geometry in Alexandria

Peak list (8 most intense, 2θ from 15° to 90°, in order of falling intensity)
- 31.96 deg, I = 100.0, hkl 1 1 1
- 27.53 deg, I = 83.1, hkl 1 1 -1
- 20.76 deg, I = 68.5, hkl 2 0 0
- 19.65 deg, I = 61.6, hkl 2 0 -1
- 29.13 deg, I = 47.3, hkl 0 0 2
- 39.71 deg, I = 44.0, hkl 3 1 0
- 40.73 deg, I = 36.2, hkl 3 1 -2
- 27.72 deg, I = 31.7, hkl 2 0 -2

Crystal structure
```
data_UPO
_chemical_formula_sum 'U4 P4 O4'
_cell_length_a 9.4425
_cell_length_b 3.7489
_cell_length_c 6.7655
_cell_angle_alpha 90.00
_cell_angle_beta 115.02
_cell_angle_gamma 90.00
_symmetry_space_group_name_H-M 'C 1 2/m 1'
_symmetry_Int_Tables_number 12
_symmetry_space_group_name_Hall '-C 2y'
loop_
_atom_site_label
_atom_site_type_symbol
_atom_site_fract_x
_atom_site_fract_y
_atom_site_fract_z
_atom_site_occupancy
U1 U 0.1982 0.0000 0.2525 1
P1 P 0.0596 0.5000 0.8903 1
O1 O 0.1884 0.0000 0.5784 1
```

(4)
Computed powder diffraction line list
Compound: UPO5
Radiation: copper Kα
Structure: the PBE geometry in Alexandria

Peak list (8 most intense, 2θ from 15° to 90°, in order of falling intensity)
- 24.80 deg, I = 100.0, hkl 1 0 1
- 25.61 deg, I = 76.1, hkl 2 0 0
- 18.03 deg, I = 67.3, hkl 1 1 0
- 35.95 deg, I = 45.5, hkl 2 1 1
- 44.66 deg, I = 29.8, hkl 3 0 1
- 41.03 deg, I = 28.6, hkl 3 1 0
- 52.20 deg, I = 25.5, hkl 3 2 1
- 61.08 deg, I = 23.9, hkl 3 1 2

Crystal structure
```
data_UPO5
_chemical_formula_sum 'U2 P2 O10'
_cell_length_a 6.9561
_cell_length_b 6.9561
_cell_length_c 4.1908
_cell_angle_alpha 90.00
_cell_angle_beta 90.00
_cell_angle_gamma 90.00
_symmetry_space_group_name_H-M 'P 4/n m m'
_symmetry_Int_Tables_number 129
loop_
_symmetry_equiv_pos_as_xyz
'x,y,z'
'-x,-y,-z'
'-y+1/2,x,z'
'y+1/2,-x,-z'
'-x+1/2,-y+1/2,z'
'x+1/2,y+1/2,-z'
'y,-x+1/2,z'
'-y,x+1/2,-z'
'x+1/2,-y,-z'
'-x+1/2,y,z'
'-y,-x,-z'
'y,x,z'
'-x,y+1/2,-z'
'x,-y+1/2,z'
'y+1/2,x+1/2,-z'
'-y+1/2,-x+1/2,z'
loop_
_atom_site_label
_atom_site_type_symbol
_atom_site_fract_x
_atom_site_fract_y
_atom_site_fract_z
_atom_site_occupancy
U1 U 0.2500 0.2500 0.2191 1
P1 P 0.2500 0.7500 0.0000 1
O1 O 0.0660 0.7500 0.7916 1
O2 O 0.2500 0.2500 0.7259 1
```